[1]
This entry pairs a crystal structure of MgMn6O7F5 with its computed X-ray powder pattern. Radiation: Cu Kα (λ = 1.5418 Å). Structure: a GGA+U-relaxed structure.
Lines closer than 0.1° are merged.

Main lines, in order of rising 2θ (2θ from 10° to 80°):
- (1 -1 1), 3.702 Å, 2θ 24.04, rel. 73
- (1 1 -1), 3.220 Å, 2θ 27.71, rel. 100
- (1 -1 2), 2.668 Å, 2θ 33.59, rel. 28
- (0 1 2), 2.639 Å, 2θ 33.97, rel. 36
- (1 0 -3), 2.630 Å, 2θ 34.09, rel. 70
- (-2 1 2), 2.620 Å, 2θ 34.23, rel. 26
- (2 -2 2), 1.851 Å, 2θ 49.23, rel. 27
- (0 3 0), 1.725 Å, 2θ 53.10, rel. 35
- (2 1 -4), 1.719 Å, 2θ 53.30, rel. 26
- (-2 2 4), 1.564 Å, 2θ 59.08, rel. 27

Crystal structure
```
data_MgMn6O7F5
_symmetry_space_group_name_H-M 'P 1'
_symmetry_Int_Tables_number 1
_cell_length_a 5.795
_cell_length_b 5.816
_cell_length_c 7.955
_cell_angle_alpha 95.64
_cell_angle_beta 110.30
_cell_angle_gamma 112.63
loop_
_symmetry_equiv_pos_as_xyz
'x,y,z'
loop_
_atom_site_label
_atom_site_type_symbol
_atom_site_fract_x
_atom_site_fract_y
_atom_site_fract_z
_atom_site_occupancy
Mg1 Mg 0.000 0.000 0.000 1
Mn1 Mn 0.013 0.615 0.184 1
Mn2 Mn 0.040 0.999 0.507 1
Mn3 Mn 0.424 0.647 0.636 1
Mn4 Mn 0.489 0.977 0.007 1
Mn5 Mn 0.552 0.290 0.355 1
Mn6 Mn 0.811 0.342 0.749 1
O1 O 0.161 0.747 0.451 1
O2 O 0.303 0.928 0.170 1
O3 O 0.403 0.283 0.545 1
O4 O 0.669 0.025 0.837 1
O5 O 0.693 0.323 0.172 1
O6 O 0.813 0.583 0.919 1
O7 O 0.854 0.221 0.535 1
F1 F 0.164 0.051 0.817 1
F2 F 0.213 0.363 0.169 1
F3 F 0.248 0.612 0.842 1
F4 F 0.708 0.695 0.494 1
F5 F 0.830 0.908 0.192 1
```

***

[2]
This entry pairs a crystal structure of LiV2P4H2O16 with its computed X-ray powder pattern. Radiation: Cu Kα (λ = 1.5418 Å). Structure: a GGA+U-relaxed structure.
Lines closer than 0.1° are merged.

Main lines, in order of rising 2θ (2θ from 10° to 80°):
- (1 1 -1), 5.299 Å, 2θ 16.73, rel. 74
- (0 2 0), 3.906 Å, 2θ 22.77, rel. 58
- (-2 1 1), 3.558 Å, 2θ 25.03, rel. 100
- (1 -2 2), 3.458 Å, 2θ 25.76, rel. 67
- (2 -2 0), 3.244 Å, 2θ 27.50, rel. 24
- (1 1 -3), 3.033 Å, 2θ 29.45, rel. 31
- (1 0 2), 3.020 Å, 2θ 29.58, rel. 82
- (0 3 -1), 2.967 Å, 2θ 30.12, rel. 26
- (2 2 -2), 2.649 Å, 2θ 33.83, rel. 46
- (4 1 -3), 1.742 Å, 2θ 52.54, rel. 19

Crystal structure
```
data_LiV2P4H2O16
_symmetry_space_group_name_H-M 'P 1'
_symmetry_Int_Tables_number 1
_cell_length_a 7.764
_cell_length_b 9.286
_cell_length_c 9.299
_cell_angle_alpha 116.57
_cell_angle_beta 101.91
_cell_angle_gamma 101.92
loop_
_symmetry_equiv_pos_as_xyz
'x,y,z'
loop_
_atom_site_label
_atom_site_type_symbol
_atom_site_fract_x
_atom_site_fract_y
_atom_site_fract_z
_atom_site_occupancy
Li1 Li 0.000 0.000 0.000 1
Li2 Li 0.495 0.623 0.382 1
V1 V 0.131 0.713 0.341 1
V2 V 0.142 0.218 0.838 1
V3 V 0.633 0.963 0.093 1
V4 V 0.646 0.459 0.597 1
P1 P 0.376 0.224 0.195 1
P2 P 0.376 0.711 0.695 1
P3 P 0.406 0.608 0.084 1
P4 P 0.410 0.107 0.590 1
P5 P 0.872 0.317 0.090 1
P6 P 0.874 0.816 0.602 1
P7 P 0.908 0.706 0.986 1
P8 P 0.912 0.210 0.485 1
H1 H 0.135 0.216 0.351 1
H2 H 0.153 0.705 0.827 1
H3 H 0.632 0.979 0.600 1
H4 H 0.642 0.462 0.092 1
O1 O 0.005 0.976 0.777 1
O2 O 0.009 0.477 0.266 1
O3 O 0.082 0.782 0.960 1
O4 O 0.086 0.281 0.453 1
O5 O 0.196 0.643 0.721 1
O6 O 0.201 0.143 0.218 1
O7 O 0.273 0.459 0.909 1
O8 O 0.276 0.942 0.418 1
O9 O 0.299 0.144 0.715 1
O10 O 0.303 0.644 0.217 1
O11 O 0.324 0.243 0.038 1
O12 O 0.327 0.725 0.531 1
O13 O 0.461 0.256 0.559 1
O14 O 0.467 0.773 0.070 1
O15 O 0.487 0.587 0.664 1
O16 O 0.496 0.101 0.162 1
O17 O 0.506 0.399 0.354 1
O18 O 0.507 0.887 0.856 1
O19 O 0.582 0.581 0.160 1
O20 O 0.586 0.079 0.666 1
O21 O 0.695 0.349 0.030 1
O22 O 0.699 0.838 0.522 1
O23 O 0.774 0.529 0.837 1
O24 O 0.775 0.037 0.321 1
O25 O 0.801 0.837 0.023 1
O26 O 0.802 0.337 0.521 1
O27 O 0.826 0.152 0.103 1
O28 O 0.827 0.660 0.623 1
O29 O 0.960 0.181 0.634 1
O30 O 0.968 0.691 0.151 1
O31 O 0.983 0.285 0.965 1
O32 O 0.995 0.783 0.479 1
```

***

[3]
This entry pairs a crystal structure of Y4Mn3NiO12 with its computed X-ray powder pattern. Radiation: Cu Kα (λ = 1.5418 Å). Structure: a GGA+U-relaxed structure.
Lines closer than 0.1° are merged.

Main lines, in order of rising 2θ (2θ from 10° to 80°):
- (0 2 0), 2.847 Å, 2θ 31.42, rel. 38
- (-1 1 2), 2.739 Å, 2θ 32.70, rel. 49
- (1 1 -2), 2.722 Å, 2θ 32.90, rel. 100
- (1 1 2), 2.704 Å, 2θ 33.13, rel. 47
- (0 2 1), 2.668 Å, 2θ 33.59, rel. 21
- (2 0 0), 2.652 Å, 2θ 33.81, rel. 46
- (2 -2 0), 1.953 Å, 2θ 46.50, rel. 19
- (0 0 4), 1.909 Å, 2θ 47.63, rel. 31
- (0 2 3), 1.897 Å, 2θ 47.96, rel. 23
- (2 0 4), 1.544 Å, 2θ 59.92, rel. 38

Crystal structure
```
data_Y4Mn3NiO12
_symmetry_space_group_name_H-M 'P -1'
_symmetry_Int_Tables_number 2
_cell_length_a 5.304
_cell_length_b 5.695
_cell_length_c 7.638
_cell_angle_alpha 90.02
_cell_angle_beta 90.51
_cell_angle_gamma 90.74
loop_
_symmetry_equiv_pos_as_xyz
'x,y,z'
'-x,-y,-z'
loop_
_atom_site_label
_atom_site_type_symbol
_atom_site_fract_x
_atom_site_fract_y
_atom_site_fract_z
_atom_site_occupancy
Y1 Y 0.018 0.073 0.252 1
Y2 Y 0.480 0.579 0.254 1
Mn1 Mn 0.000 0.500 0.000 1
Mn2 Mn 0.000 0.500 0.500 1
Mn3 Mn 0.500 0.000 0.000 1
Ni1 Ni 0.500 0.000 0.500 1
O1 O 0.115 0.540 0.741 1
O2 O 0.180 0.795 0.443 1
O3 O 0.194 0.815 0.055 1
O4 O 0.297 0.322 0.059 1
O5 O 0.299 0.315 0.447 1
O6 O 0.392 0.035 0.755 1
```

***

[4]
This entry pairs a crystal structure of Li9Mn2Co5O16 with its computed X-ray powder pattern. Radiation: Cu Kα (λ = 1.5418 Å). Structure: a GGA+U-relaxed structure.
Lines closer than 0.1° are merged.

Main lines, in order of rising 2θ (2θ from 10° to 80°):
- (0 1 1), 4.851 Å, 2θ 18.29, rel. 100
- (1 -1 3), 2.528 Å, 2θ 35.52, rel. 15
- (2 1 1), 2.498 Å, 2θ 35.96, rel. 14
- (1 1 -3), 2.482 Å, 2θ 36.20, rel. 13
- (1 -2 2), 2.107 Å, 2θ 42.93, rel. 29
- (2 2 2), 2.078 Å, 2θ 43.56, rel. 28
- (1 0 -4), 2.064 Å, 2θ 43.87, rel. 27
- (1 3 -1), 1.915 Å, 2θ 47.48, rel. 9
- (-2 2 2), 1.481 Å, 2θ 62.73, rel. 15
- (3 0 4), 1.477 Å, 2θ 62.94, rel. 8

Crystal structure
```
data_Li9Mn2Co5O16
_symmetry_space_group_name_H-M 'P 1'
_symmetry_Int_Tables_number 1
_cell_length_a 5.074
_cell_length_b 5.930
_cell_length_c 10.171
_cell_angle_alpha 89.74
_cell_angle_beta 79.63
_cell_angle_gamma 74.10
loop_
_symmetry_equiv_pos_as_xyz
'x,y,z'
loop_
_atom_site_label
_atom_site_type_symbol
_atom_site_fract_x
_atom_site_fract_y
_atom_site_fract_z
_atom_site_occupancy
Li1 Li 0.000 0.000 0.000 1
Li2 Li 0.000 0.002 0.496 1
Li3 Li 0.005 0.750 0.759 1
Li4 Li 0.491 0.625 0.879 1
Li5 Li 0.498 0.125 0.372 1
Li6 Li 0.502 0.876 0.625 1
Li7 Li 0.507 0.367 0.121 1
Li8 Li 0.995 0.506 0.996 1
Li9 Li 0.999 0.243 0.243 1
Mn1 Mn 0.499 0.878 0.123 1
Mn2 Mn 0.502 0.373 0.624 1
Co1 Co 0.002 0.499 0.498 1
Co2 Co 0.496 0.112 0.877 1
Co3 Co 0.500 0.626 0.373 1
Co4 Co 0.997 0.242 0.757 1
Co5 Co 0.998 0.756 0.241 1
O1 O 0.241 0.453 0.325 1
O2 O 0.253 0.695 0.077 1
O3 O 0.256 0.206 0.571 1
O4 O 0.259 0.926 0.304 1
O5 O 0.261 0.953 0.812 1
O6 O 0.266 0.662 0.563 1
O7 O 0.268 0.426 0.801 1
O8 O 0.275 0.164 0.064 1
O9 O 0.727 0.819 0.947 1
O10 O 0.732 0.584 0.186 1
O11 O 0.735 0.043 0.185 1
O12 O 0.735 0.324 0.445 1
O13 O 0.743 0.085 0.681 1
O14 O 0.751 0.545 0.672 1
O15 O 0.754 0.301 0.920 1
O16 O 0.755 0.793 0.426 1
```

***

[5]
This entry pairs a crystal structure of AlV3Se2ClO8 with its computed X-ray powder pattern. Radiation: Cu Kα (λ = 1.5418 Å). Structure: a GGA+U-relaxed structure.
Lines closer than 0.1° are merged.

Main lines, in order of rising 2θ (2θ from 10° to 80°):
- (0 1 0), 8.003 Å, 2θ 11.06, rel. 47
- (1 -1 0), 5.044 Å, 2θ 17.58, rel. 100
- (1 1 0), 4.993 Å, 2θ 17.76, rel. 71
- (0 0 2), 4.838 Å, 2θ 18.34, rel. 70
- (1 -2 0), 3.415 Å, 2θ 26.09, rel. 78
- (1 2 0), 3.384 Å, 2θ 26.34, rel. 63
- (1 0 -3), 3.220 Å, 2θ 27.71, rel. 79
- (0 1 -3), 3.009 Å, 2θ 29.69, rel. 52
- (-2 1 2), 2.852 Å, 2θ 31.37, rel. 79
- (2 2 1), 2.304 Å, 2θ 39.09, rel. 56

Crystal structure
```
data_AlV3Se2ClO8
_symmetry_space_group_name_H-M 'P -1'
_symmetry_Int_Tables_number 2
_cell_length_a 6.650
_cell_length_b 8.004
_cell_length_c 9.981
_cell_angle_alpha 90.96
_cell_angle_beta 104.34
_cell_angle_gamma 90.33
loop_
_symmetry_equiv_pos_as_xyz
'x,y,z'
'-x,-y,-z'
loop_
_atom_site_label
_atom_site_type_symbol
_atom_site_fract_x
_atom_site_fract_y
_atom_site_fract_z
_atom_site_occupancy
Al1 Al 0.248 0.142 0.254 1
V1 V 0.000 0.000 0.000 1
V2 V 0.000 0.000 0.500 1
V3 V 0.280 0.779 0.249 1
V4 V 0.500 0.000 0.000 1
V5 V 0.500 0.000 0.500 1
Se1 Se 0.188 0.631 0.917 1
Se2 Se 0.308 0.627 0.574 1
Cl1 Cl 0.316 0.134 0.678 1
O1 O 0.024 0.220 0.130 1
O2 O 0.110 0.757 0.582 1
O3 O 0.183 0.608 0.087 1
O4 O 0.200 0.981 0.362 1
O5 O 0.291 0.999 0.120 1
O6 O 0.301 0.600 0.403 1
O7 O 0.398 0.755 0.923 1
O8 O 0.465 0.228 0.378 1
```

***

[6]
This entry pairs a crystal structure of TbV2O2 with its computed X-ray powder pattern. Radiation: Cu Kα (λ = 1.5418 Å). Structure: a GGA+U-relaxed structure.
Lines closer than 0.1° are merged.

Main lines, in order of rising 2θ (2θ from 10° to 80°):
- (1 0 1), 6.385 Å, 2θ 13.87, rel. 40
- (2 1 1), 3.496 Å, 2θ 25.48, rel. 24
- (2 0 2), 3.192 Å, 2θ 27.95, rel. 55
- (1 0 3), 3.069 Å, 2θ 29.10, rel. 55
- (2 2 0), 2.954 Å, 2θ 30.26, rel. 100
- (2 1 3), 2.474 Å, 2θ 36.32, rel. 37
- (4 0 0), 2.089 Å, 2θ 43.32, rel. 31
- (3 2 3), 1.896 Å, 2θ 47.97, rel. 40
- (4 2 2), 1.748 Å, 2θ 52.33, rel. 40
- (2 0 6), 1.534 Å, 2θ 60.34, rel. 20

Crystal structure
```
data_TbV2O2
_symmetry_space_group_name_H-M 'I 41/a m d'
_symmetry_Int_Tables_number 141
_cell_length_a 8.355
_cell_length_b 8.355
_cell_length_c 9.900
_cell_angle_alpha 90.00
_cell_angle_beta 90.00
_cell_angle_gamma 90.00
loop_
_symmetry_equiv_pos_as_xyz
'x,y,z'
'-x,-y,-z'
'-y+1/4,x+3/4,z+1/4'
'y+1/4,-x+3/4,-z+1/4'
'-x+1/2,-y,z+1/2'
'x+1/2,y,-z+1/2'
'y+1/4,-x+1/4,z+3/4'
'-y+1/4,x+1/4,-z+3/4'
'x,-y,-z'
'-x,y,z'
'-y+1/4,-x+1/4,-z+3/4'
'y+1/4,x+1/4,z+3/4'
'-x+1/2,y,-z+1/2'
'x+1/2,-y,z+1/2'
'y+1/4,x+3/4,-z+1/4'
'-y+1/4,-x+3/4,z+1/4'
'x+1/2,y+1/2,z+1/2'
'-x+1/2,-y+1/2,-z+1/2'
'-y+3/4,x+1/4,z+3/4'
'y+3/4,-x+1/4,-z+3/4'
'-x,-y+1/2,z'
'x,y+1/2,-z'
'y+3/4,-x+3/4,z+1/4'
'-y+3/4,x+3/4,-z+1/4'
'x+1/2,-y+1/2,-z+1/2'
'-x+1/2,y+1/2,z+1/2'
'-y+3/4,-x+3/4,-z+1/4'
'y+3/4,x+3/4,z+1/4'
'-x,y+1/2,-z'
'x,-y+1/2,z'
'y+3/4,x+1/4,-z+3/4'
'-y+3/4,-x+1/4,z+3/4'
loop_
_atom_site_label
_atom_site_type_symbol
_atom_site_fract_x
_atom_site_fract_y
_atom_site_fract_z
_atom_site_occupancy
Tb1 Tb 0.000 0.000 0.000 1
V1 V 0.000 0.043 0.365 1
O1 O 0.000 0.093 0.777 1
```

***

[7]
This entry pairs a crystal structure of LiMnP3O9 with its computed X-ray powder pattern. Radiation: Cu Kα (λ = 1.5418 Å). Structure: a GGA+U-relaxed structure.
Lines closer than 0.1° are merged.

Main lines, in order of rising 2θ (2θ from 10° to 80°):
- (0 2 0), 6.090 Å, 2θ 14.55, rel. 25
- (1 1 0), 4.776 Å, 2θ 18.58, rel. 24
- (0 2 2), 4.242 Å, 2θ 20.94, rel. 36
- (1 2 1), 3.747 Å, 2θ 23.74, rel. 100
- (1 1 2), 3.715 Å, 2θ 23.95, rel. 11
- (0 2 3), 3.309 Å, 2θ 26.95, rel. 11
- (0 2 4), 2.659 Å, 2θ 33.70, rel. 11
- (1 0 4), 2.566 Å, 2θ 34.97, rel. 18
- (0 4 3), 2.409 Å, 2θ 37.32, rel. 13
- (1 2 4), 2.367 Å, 2θ 38.02, rel. 20

Crystal structure
```
data_LiMnP3O9
_symmetry_space_group_name_H-M 'P b c m'
_symmetry_Int_Tables_number 57
_cell_length_a 5.192
_cell_length_b 12.179
_cell_length_c 11.824
_cell_angle_alpha 90.00
_cell_angle_beta 90.00
_cell_angle_gamma 90.00
loop_
_symmetry_equiv_pos_as_xyz
'x,y,z'
'-x,-y,-z'
'-x,-y,z+1/2'
'x,y,-z+1/2'
'x,-y+1/2,-z'
'-x,y+1/2,z'
'-x,y+1/2,-z+1/2'
'x,-y+1/2,z+1/2'
loop_
_atom_site_label
_atom_site_type_symbol
_atom_site_fract_x
_atom_site_fract_y
_atom_site_fract_z
_atom_site_occupancy
Li1 Li 0.000 0.000 0.000 1
Mn1 Mn 0.021 0.078 0.250 1
P1 P 0.234 0.250 0.000 1
P2 P 0.486 0.071 0.634 1
O1 O 0.092 0.199 0.097 1
O2 O 0.244 0.526 0.626 1
O3 O 0.266 0.510 0.129 1
O4 O 0.453 0.164 0.543 1
O5 O 0.466 0.141 0.750 1
```

***

[8]
This entry pairs a crystal structure of Li9Mn2Co5O16 with its computed X-ray powder pattern. Radiation: Cu Kα (λ = 1.5418 Å). Structure: a GGA+U-relaxed structure.
Lines closer than 0.1° are merged.

Main lines, in order of rising 2θ (2θ from 10° to 80°):
- (0 1 -2), 4.821 Å, 2θ 18.41, rel. 100
- (-1 1 2), 2.601 Å, 2θ 34.48, rel. 19
- (1 1 2), 2.442 Å, 2θ 36.80, rel. 23
- (0 2 -4), 2.411 Å, 2θ 37.29, rel. 8
- (1 0 -4), 2.183 Å, 2θ 41.36, rel. 33
- (1 0 4), 2.026 Å, 2θ 44.73, rel. 25
- (0 4 0), 2.021 Å, 2θ 44.85, rel. 25
- (0 0 8), 1.487 Å, 2θ 62.47, rel. 15
- (2 0 0), 1.483 Å, 2θ 62.64, rel. 8
- (1 4 -4), 1.480 Å, 2θ 62.79, rel. 8

Crystal structure
```
data_Li9Mn2Co5O16
_symmetry_space_group_name_H-M 'P 1'
_symmetry_Int_Tables_number 1
_cell_length_a 2.975
_cell_length_b 8.086
_cell_length_c 11.931
_cell_angle_alpha 90.65
_cell_angle_beta 94.26
_cell_angle_gamma 91.00
loop_
_symmetry_equiv_pos_as_xyz
'x,y,z'
loop_
_atom_site_label
_atom_site_type_symbol
_atom_site_fract_x
_atom_site_fract_y
_atom_site_fract_z
_atom_site_occupancy
Li1 Li 0.000 0.000 0.000 1
Li2 Li 0.002 0.010 0.496 1
Li3 Li 0.009 0.493 0.249 1
Li4 Li 0.492 0.244 0.381 1
Li5 Li 0.495 0.244 0.126 1
Li6 Li 0.498 0.753 0.375 1
Li7 Li 0.501 0.753 0.874 1
Li8 Li 0.509 0.245 0.618 1
Li9 Li 0.997 0.498 0.753 1
Mn1 Mn 0.002 0.500 0.000 1
Mn2 Mn 0.004 0.493 0.497 1
Co1 Co 0.003 0.999 0.749 1
Co2 Co 0.498 0.752 0.126 1
Co3 Co 0.505 0.248 0.873 1
Co4 Co 0.513 0.752 0.623 1
Co5 Co 0.997 0.010 0.254 1
O1 O 0.006 0.224 0.246 1
O2 O 0.028 0.741 0.006 1
O3 O 0.029 0.237 0.757 1
O4 O 0.032 0.740 0.508 1
O5 O 0.472 0.512 0.125 1
O6 O 0.474 0.010 0.868 1
O7 O 0.474 0.998 0.364 1
O8 O 0.476 0.500 0.390 1
O9 O 0.525 0.986 0.131 1
O10 O 0.525 0.988 0.632 1
O11 O 0.528 0.510 0.610 1
O12 O 0.529 0.488 0.876 1
O13 O 0.974 0.258 0.993 1
O14 O 0.974 0.769 0.243 1
O15 O 0.976 0.760 0.743 1
O16 O 0.994 0.267 0.502 1
```